Record 1
Structure and calculated X-ray powder pattern of PmPr5Nd5 (a structure optimized by DFT (PBE); copper Kα).
Kinematic intensities with the Lorentz-polarization factor, no thermal factor.

Most intense lines, 10° ≤ 2θ ≤ 90°, sorted by position:
2θ = 26.12°, rel. 254; 2θ = 28.60°, rel. 198; 2θ = 28.92°, rel. 1000; 2θ = 29.68°, rel. 144; 2θ = 30.36°, rel. 507; 2θ = 31.19°, rel. 915; 2θ = 31.27°, rel. 303; 2θ = 33.73°, rel. 362; 2θ = 35.82°, rel. 263; 2θ = 36.24°, rel. 263; 2θ = 50.91°, rel. 154; 2θ = 54.39°, rel. 148

Cell and atoms:
a b c (Å): 6.933 7.961 8.471
angles (deg): 100.49 100.37 115.29
Positions (direct):
Pm1 0.000 0.000 0.000
Pr1 0.149 0.738 0.240
Pr2 0.478 0.695 0.645
Pr3 0.500 0.500 0.000
Pr4 0.522 0.305 0.355
Pr5 0.851 0.262 0.760
Nd1 0.018 0.321 0.347
Nd2 0.264 0.138 0.641
Nd3 0.500 0.000 0.000
Nd4 0.736 0.862 0.359
Nd5 0.982 0.679 0.653

---

Record 2
Structure and calculated X-ray powder pattern of Pm3PrNd4S8 (a structure optimized by DFT (PBE); copper Kα).
Kinematic intensities with the Lorentz-polarization factor, no thermal factor.

Most intense lines, 10° ≤ 2θ ≤ 90°, sorted by position:
2θ = 26.88°, rel. 744; 2θ = 31.14°, rel. 1000; 2θ = 44.62°, rel. 725; 2θ = 52.86°, rel. 370; 2θ = 55.41°, rel. 252; 2θ = 64.93°, rel. 116; 2θ = 71.60°, rel. 150; 2θ = 73.77°, rel. 321; 2θ = 82.21°, rel. 243; 2θ = 88.43°, rel. 118

Cell and atoms:
a b c (Å): 8.124 8.124 8.124
angles (deg): 59.99 59.99 59.99
Positions (direct):
Pm1 0.000 0.500 0.500
Pm2 0.500 0.000 0.500
Pm3 0.500 0.500 0.000
Pr1 0.000 0.000 0.000
Nd1 0.000 0.000 0.500
Nd2 0.000 0.500 0.000
Nd3 0.500 0.000 0.000
Nd4 0.500 0.500 0.500
S1 0.251 0.251 0.251
S2 0.251 0.251 0.747
S3 0.251 0.747 0.251
S4 0.253 0.749 0.749
S5 0.747 0.251 0.251
S6 0.749 0.253 0.749
S7 0.749 0.749 0.253
S8 0.749 0.749 0.749

---

Record 3
Structure and calculated X-ray powder pattern of PmPr3Nd3S8 (a structure optimized by DFT (PBE); copper Kα).
Kinematic intensities with the Lorentz-polarization factor, no thermal factor.

Most intense lines, 10° ≤ 2θ ≤ 90°, sorted by position:
2θ = 13.30°, rel. 139; 2θ = 25.62°, rel. 85; 2θ = 26.78°, rel. 636; 2θ = 31.02°, rel. 1000; 2θ = 44.43°, rel. 723; 2θ = 52.64°, rel. 322; 2θ = 55.20°, rel. 188; 2θ = 64.65°, rel. 116; 2θ = 73.38°, rel. 160; 2θ = 73.48°, rel. 159; 2θ = 81.87°, rel. 181; 2θ = 88.03°, rel. 76

Cell and atoms:
a b c (Å): 8.162 8.162 8.162
angles (deg): 59.90 59.90 59.90
Positions (direct):
Pm1 0.000 0.000 0.000
Pr1 0.000 0.000 0.500
Pr2 0.000 0.500 0.000
Pr3 0.500 0.000 0.000
Nd1 0.000 0.500 0.500
Nd2 0.500 0.000 0.500
Nd3 0.500 0.500 0.000
S1 0.248 0.248 0.750
S2 0.248 0.750 0.248
S3 0.250 0.752 0.752
S4 0.251 0.251 0.251
S5 0.749 0.749 0.749
S6 0.750 0.248 0.248
S7 0.752 0.250 0.752
S8 0.752 0.752 0.250

---

Record 4
Structure and calculated X-ray powder pattern of PmPrNd2Sb4 (a structure optimized by DFT (PBE); copper Kα).
Kinematic intensities with the Lorentz-polarization factor, no thermal factor.

Most intense lines, 10° ≤ 2θ ≤ 90°, sorted by position:
2θ = 24.08°, rel. 14; 2θ = 27.88°, rel. 1000; 2θ = 39.83°, rel. 767; 2θ = 47.09°, rel. 8; 2θ = 49.32°, rel. 275; 2θ = 57.60°, rel. 129; 2θ = 65.18°, rel. 354; 2θ = 72.32°, rel. 260; 2θ = 85.90°, rel. 84

Cell and atoms:
a b c (Å): 9.052 9.052 9.050
angles (deg): 119.99 119.99 90.01
Positions (direct):
Pm1 0.000 0.000 0.000
Pm2 0.000 0.000 0.500
Pr1 0.000 0.500 0.000
Pr2 0.500 0.000 0.500
Nd1 0.000 0.500 0.500
Nd2 0.500 0.000 0.000
Nd3 0.500 0.500 0.000
Nd4 0.500 0.500 0.500
Sb1 0.248 0.249 0.498
Sb2 0.249 0.248 0.998
Sb3 0.249 0.751 0.501
Sb4 0.249 0.751 0.999
Sb5 0.751 0.249 0.001
Sb6 0.751 0.249 0.499
Sb7 0.751 0.752 0.002
Sb8 0.752 0.751 0.502

---

Record 5
Structure and calculated X-ray powder pattern of PmPr2NdSb4 (a structure optimized by DFT (PBE); copper Kα).
Kinematic intensities with the Lorentz-polarization factor, no thermal factor.

Most intense lines, 10° ≤ 2θ ≤ 90°, sorted by position:
2θ = 24.04°, rel. 14; 2θ = 27.83°, rel. 1000; 2θ = 39.76°, rel. 767; 2θ = 47.00°, rel. 8; 2θ = 49.23°, rel. 275; 2θ = 57.49°, rel. 129; 2θ = 65.06°, rel. 354; 2θ = 72.18°, rel. 260; 2θ = 85.71°, rel. 84

Cell and atoms:
a b c (Å): 9.068 9.068 9.068
angles (deg): 120.00 120.00 90.00
Positions (direct):
Pm1 0.000 0.000 0.000
Pm2 0.500 0.000 0.500
Pr1 0.000 0.500 0.500
Pr2 0.500 0.000 0.000
Pr3 0.500 0.500 0.000
Pr4 0.500 0.500 0.500
Nd1 0.000 0.000 0.500
Nd2 0.000 0.500 0.000
Sb1 0.247 0.249 0.999
Sb2 0.249 0.247 0.497
Sb3 0.249 0.752 0.003
Sb4 0.250 0.751 0.499
Sb5 0.750 0.249 0.501
Sb6 0.751 0.248 0.997
Sb7 0.751 0.753 0.503
Sb8 0.753 0.751 0.001

---

Record 6
Structure and calculated X-ray powder pattern of PmPrNd3Sc (a structure optimized by DFT (PBE); copper Kα).
Kinematic intensities with the Lorentz-polarization factor, no thermal factor.

Most intense lines, 10° ≤ 2θ ≤ 90°, sorted by position:
2θ = 28.63°, rel. 161; 2θ = 30.63°, rel. 246; 2θ = 30.82°, rel. 300; 2θ = 31.37°, rel. 1000; 2θ = 44.01°, rel. 184; 2θ = 45.90°, rel. 72; 2θ = 54.92°, rel. 131; 2θ = 55.16°, rel. 201; 2θ = 56.31°, rel. 78; 2θ = 65.47°, rel. 79; 2θ = 73.02°, rel. 67; 2θ = 89.64°, rel. 66

Cell and atoms:
a b c (Å): 6.603 6.603 11.674
angles (deg): 90.00 90.00 127.87
Positions (direct):
Pm1 0.026 0.974 0.750
Pm2 0.974 0.026 0.250
Pr1 0.500 0.500 0.000
Pr2 0.500 0.500 0.500
Nd1 0.179 0.821 0.030
Nd2 0.179 0.821 0.470
Nd3 0.326 0.674 0.750
Nd4 0.674 0.326 0.250
Nd5 0.821 0.179 0.530
Nd6 0.821 0.179 0.970
Sc1 0.354 0.646 0.250
Sc2 0.646 0.354 0.750

---

Record 7
Structure and calculated X-ray powder pattern of PmPr4Nd2Sc (a structure optimized by DFT (PBE); copper Kα).
Kinematic intensities with the Lorentz-polarization factor, no thermal factor.

Most intense lines, 10° ≤ 2θ ≤ 90°, sorted by position:
2θ = 30.05°, rel. 1000; 2θ = 34.71°, rel. 171; 2θ = 34.90°, rel. 334; 2θ = 50.04°, rel. 240; 2θ = 50.18°, rel. 118; 2θ = 59.36°, rel. 144; 2θ = 59.55°, rel. 142; 2θ = 59.66°, rel. 138; 2θ = 62.46°, rel. 122; 2θ = 81.32°, rel. 58; 2θ = 81.42°, rel. 56; 2θ = 81.58°, rel. 56

Cell and atoms:
a b c (Å): 5.148 5.169 10.272
angles (deg): 90.00 90.00 90.00
Positions (direct):
Pm1 0.000 0.000 0.000
Pr1 0.000 0.500 0.257
Pr2 0.000 0.500 0.743
Pr3 0.500 0.000 0.256
Pr4 0.500 0.000 0.744
Nd1 0.000 0.000 0.500
Nd2 0.500 0.500 0.000
Sc1 0.500 0.500 0.500

---

Record 8
Structure and calculated X-ray powder pattern of Pm3Pr4NdSe8 (a structure optimized by DFT (PBE); copper Kα).
Kinematic intensities with the Lorentz-polarization factor, no thermal factor.

Most intense lines, 10° ≤ 2θ ≤ 90°, sorted by position:
2θ = 25.75°, rel. 157; 2θ = 29.82°, rel. 1000; 2θ = 42.62°, rel. 374; 2θ = 42.73°, rel. 373; 2θ = 50.50°, rel. 60; 2θ = 52.79°, rel. 66; 2θ = 52.98°, rel. 198; 2θ = 61.94°, rel. 123; 2θ = 70.17°, rel. 168; 2θ = 70.33°, rel. 168; 2θ = 77.95°, rel. 63; 2θ = 78.21°, rel. 188

Cell and atoms:
a b c (Å): 8.485 8.485 8.485
angles (deg): 59.84 59.84 59.84
Positions (direct):
Pm1 0.000 0.500 0.500
Pm2 0.500 0.000 0.500
Pm3 0.500 0.500 0.000
Pr1 0.000 0.000 0.500
Pr2 0.000 0.500 0.000
Pr3 0.500 0.000 0.000
Pr4 0.500 0.500 0.500
Nd1 0.000 0.000 0.000
Se1 0.249 0.249 0.747
Se2 0.249 0.747 0.249
Se3 0.252 0.252 0.252
Se4 0.253 0.751 0.751
Se5 0.747 0.249 0.249
Se6 0.748 0.748 0.748
Se7 0.751 0.253 0.751
Se8 0.751 0.751 0.253